Calculated powder XRD pattern of Y3ThS6 for Cu Kα (λ = 1.5418 Å), from a cell relaxed with PBE.
No peak broadening, texture or thermal motion is included.

Peak list (6 most intense, 5 to 70 degrees two-theta, most intense first)
| two_theta | I (rel.) | index |
| --- | --- | --- |
| 8.40 | 100.0 | 1 0 0 |
| 30.95 | 93.9 | 2 1 1 |
| 24.11 | 80.6 | 3 0 -1 |
| 23.50 | 75.0 | 1 0 -3 |
| 34.18 | 58.8 | 3 1 0 |
| 23.99 | 56.4 | 0 1 1 |

Atomic structure:
abc: 11.0763 3.9509 11.3633
angles: 90.00 108.19 90.00
Positions (direct):
Y 0.0671 0.2500 0.1664
Y 0.1792 0.7500 0.5012
Y 0.3386 0.2500 0.9181
Y 0.6614 0.7500 0.0819
Y 0.8208 0.2500 0.4988
Y 0.9329 0.7500 0.8336
Th 0.4520 0.2500 0.3044
Th 0.5480 0.7500 0.6956
S 0.0204 0.2500 0.3855
S 0.1039 0.2500 0.9380
S 0.2425 0.7500 0.2741
S 0.3098 0.7500 0.7486
S 0.3844 0.2500 0.5349
S 0.4180 0.7500 0.0965
S 0.5820 0.2500 0.9035
S 0.6156 0.7500 0.4651
S 0.6902 0.2500 0.2514
S 0.7575 0.2500 0.7259
S 0.8961 0.7500 0.0620
S 0.9796 0.7500 0.6145